Na4Gd3Cu: simulated XRD peak list (a wavelength of 1.5418 Å), based on a crystal structure in OQMD, relaxed with GGA-PBE.
No peak broadening, texture or thermal motion is included.

Principal peaks in the range 2θ from 10° to 80°, by angle:
Position (°2θ), I (rel.), (hkl)
14.2, 9, 1 0 0
24.8, 91, 1 1 1
28.7, 100, 2 0 0
41.0, 76, 2 2 0
48.5, 45, 3 1 1
50.8, 27, 2 2 2
59.4, 12, 4 0 0
65.4, 19, 3 3 1
67.3, 34, 4 2 0
74.7, 25, 4 2 2

Structural model:
```
Na4Gd3Cu
1.0
6.222 0.000 0.000
0.000 6.222 0.000
0.000 0.000 6.222
Na Gd Cu
4 3 1
Direct
0.000 0.000 0.000 Na
0.000 0.500 0.500 Na
0.500 0.000 0.500 Na
0.500 0.500 0.000 Na
0.000 0.000 0.500 Gd
0.000 0.500 0.000 Gd
0.500 0.000 0.000 Gd
0.500 0.500 0.500 Cu
```


NdGdCu2P4: simulated XRD peak list (a wavelength of 1.5418 Å), based on a crystal structure in OQMD, relaxed with GGA-PBE.
No peak broadening, texture or thermal motion is included.

Principal peaks in the range 2θ from 10° to 80°, by angle:
Position (°2θ), I (rel.), (hkl)
25.3, 70, 1 0 1
29.8, 12, 1 0 2
36.2, 63, 0 0 4
38.4, 100, 1 1 2
48.4, 31, 2 0 0
52.2, 16, 1 0 5
55.4, 17, 2 1 1
61.9, 34, 2 0 4
66.7, 12, 1 1 6
73.9, 11, 2 1 5

Structural model:
```
NdGdCu2P4
1.0
3.760 0.000 0.000
0.000 3.760 0.000
0.000 0.000 9.911
Nd Gd Cu P
1 1 2 4
Direct
0.000 0.000 0.000 Nd
0.500 0.500 0.533 Gd
0.000 0.500 0.267 Cu
0.500 0.000 0.267 Cu
0.000 0.000 0.414 P
0.000 0.500 0.765 P
0.500 0.000 0.765 P
0.500 0.500 0.121 P
```